(1)
Structure and theoretical powder XRD pattern of LiIn2Hg8 (DFT lattice parameters and positions (GGA-PBE); Cu Kα (λ = 1.5418 Å)).

Most intense lines, 2θ = 10–90°, by angle:
d/Å, I (rel.)
2.663, 23
2.609, 100
2.596, 27
1.859, 16
1.527, 12
1.501, 19

Crystal structure
```
LiIn2Hg8
1.0
8.7914 -2.5957 0.0000
8.7914 2.5957 0.0000
-0.1296 0.0000 6.0998
Li In Hg
1 2 8
Direct
0.0000 0.0000 0.0000 Li
0.3508 0.3508 0.2034 In
0.6492 0.6492 0.7966 In
0.0842 0.0842 0.5617 Hg
0.1622 0.1622 0.1051 Hg
0.2702 0.2702 0.6634 Hg
0.4623 0.4623 0.7508 Hg
0.5377 0.5377 0.2492 Hg
0.7298 0.7298 0.3366 Hg
0.8378 0.8378 0.8949 Hg
0.9158 0.9158 0.4383 Hg
```



(2)
Structure and theoretical powder XRD pattern of Li4In4Hg3 (DFT lattice parameters and positions (GGA-PBE); Cu Kα (λ = 1.5418 Å)).

Most intense lines, 2θ = 10–90°, by angle:
d/Å, I (rel.)
4.164, 55
3.579, 90
3.543, 88
2.694, 73
2.624, 68
2.364, 100

Crystal structure
```
Li4In4Hg3
1.0
3.7399 0.0000 0.0000
-0.0989 3.7804 0.0000
-1.7749 -1.8846 16.6568
Li In Hg
4 4 3
Direct
0.0434 0.0438 0.0861 Li
0.3206 0.3212 0.6425 Li
0.6794 0.6788 0.3575 Li
0.9566 0.9562 0.9139 Li
0.2255 0.2268 0.4518 In
0.4123 0.4090 0.8227 In
0.5877 0.5910 0.1773 In
0.7745 0.7732 0.5482 In
0.1362 0.1364 0.2717 Hg
0.5000 0.5000 0.0000 Hg
0.8638 0.8636 0.7283 Hg
```



(3)
Structure and theoretical powder XRD pattern of Li3In3Hg5 (DFT lattice parameters and positions (GGA-PBE); Cu Kα (λ = 1.5418 Å)).

Most intense lines, 2θ = 10–90°, by angle:
d/Å, I (rel.)
3.677, 56
3.490, 88
3.412, 66
2.505, 67
2.486, 76
2.469, 100

Crystal structure
```
Li3In3Hg5
1.0
4.9392 0.0000 0.0000
2.3506 7.4040 0.0000
2.4559 2.8799 6.8283
Li In Hg
3 3 5
Direct
0.0000 0.0000 0.0000 Li
0.1208 0.5461 0.2313 Li
0.6297 0.1149 0.6445 Li
0.2327 0.7256 0.7918 In
0.4953 0.5876 0.4501 In
0.7609 0.3258 0.1689 In
0.2333 0.1160 0.4375 Hg
0.4046 0.2355 0.9680 Hg
0.6035 0.7856 0.9971 Hg
0.8787 0.8502 0.4179 Hg
0.9842 0.3660 0.6856 Hg
```



(4)
Structure and theoretical powder XRD pattern of Li3In2Hg4 (DFT lattice parameters and positions (GGA-PBE); Cu Kα (λ = 1.5418 Å)).

Most intense lines, 2θ = 10–90°, by angle:
d/Å, I (rel.)
3.850, 58
3.122, 89
2.491, 82
2.445, 100
1.745, 28
1.420, 28

Crystal structure
```
Li3In2Hg4
1.0
4.2318 -2.4475 0.0000
4.2318 2.4475 0.0000
-0.0064 0.0000 9.2400
Li In Hg
3 2 4
Direct
0.0000 0.0000 0.0000 Li
0.3340 0.3340 0.2252 Li
0.6660 0.6660 0.7748 Li
0.3332 0.3332 0.5722 In
0.6668 0.6668 0.4278 In
0.0003 0.0003 0.2979 Hg
0.9997 0.9997 0.7021 Hg
0.3331 0.3331 0.9142 Hg
0.6669 0.6669 0.0858 Hg
```



(5)
Structure and theoretical powder XRD pattern of Li3InHg10 (DFT lattice parameters and positions (GGA-PBE); Cu Kα (λ = 1.5418 Å)).

Most intense lines, 2θ = 10–90°, by angle:
d/Å, I (rel.)
3.494, 22
3.125, 25
2.690, 100
2.362, 44
2.329, 21
1.647, 22

Crystal structure
```
Li3InHg10
1.0
0.0000 6.9880 6.9880
6.9880 0.0000 6.9880
6.9880 6.9880 0.0000
Li In Hg
6 2 20
Direct
0.2152 0.2152 0.7848 Li
0.2152 0.7848 0.2152 Li
0.2152 0.7848 0.7848 Li
0.7848 0.2152 0.2152 Li
0.7848 0.2152 0.7848 Li
0.7848 0.7848 0.2152 Li
0.2500 0.2500 0.2500 In
0.7500 0.7500 0.7500 In
0.1247 0.1247 0.1247 Hg
0.1247 0.1247 0.6258 Hg
0.1247 0.6258 0.1247 Hg
0.1698 0.5000 0.5000 Hg
0.1698 0.5000 0.8302 Hg
0.1698 0.8302 0.5000 Hg
0.3742 0.8753 0.8753 Hg
0.5000 0.1698 0.5000 Hg
0.5000 0.1698 0.8302 Hg
0.5000 0.5000 0.1698 Hg
0.5000 0.5000 0.8302 Hg
0.5000 0.8302 0.1698 Hg
0.5000 0.8302 0.5000 Hg
0.6258 0.1247 0.1247 Hg
0.8302 0.1698 0.5000 Hg
0.8302 0.5000 0.1698 Hg
0.8302 0.5000 0.5000 Hg
0.8753 0.3742 0.8753 Hg
0.8753 0.8753 0.3742 Hg
0.8753 0.8753 0.8753 Hg
```



(6)
Structure and theoretical powder XRD pattern of LiIn2Hg3 (DFT lattice parameters and positions (GGA-PBE); Cu Kα (λ = 1.5418 Å)).

Most intense lines, 2θ = 10–90°, by angle:
d/Å, I (rel.)
3.722, 51
2.704, 60
2.565, 50
2.551, 100
2.532, 98
1.861, 39

Crystal structure
```
LiIn2Hg3
1.0
4.3834 -7.6944 0.0000
4.3834 7.6944 0.0000
-3.2919 0.0000 4.2919
Li In Hg
2 4 6
Direct
0.1679 0.8321 0.0000 Li
0.8321 0.1679 0.0000 Li
0.0000 0.0000 0.5000 In
0.3409 0.6591 0.5000 In
0.5000 0.5000 0.0000 In
0.6591 0.3409 0.5000 In
0.0729 0.4215 0.7476 Hg
0.2296 0.2296 0.2293 Hg
0.4215 0.0729 0.7476 Hg
0.5785 0.9271 0.2524 Hg
0.7704 0.7704 0.7707 Hg
0.9271 0.5785 0.2524 Hg
```



(7)
Structure and theoretical powder XRD pattern of Li4In2Hg3 (DFT lattice parameters and positions (GGA-PBE); Cu Kα (λ = 1.5418 Å)).

Most intense lines, 2θ = 10–90°, by angle:
d/Å, I (rel.)
3.686, 65
3.148, 53
2.962, 68
2.428, 100
2.418, 87
2.352, 52

Crystal structure
```
Li4In2Hg3
1.0
4.2610 -2.3483 0.0000
4.2610 2.3483 0.0000
-0.5020 0.0000 8.7916
Li In Hg
4 2 3
Direct
0.0135 0.0135 0.3332 Li
0.3410 0.3410 0.1030 Li
0.6590 0.6590 0.8970 Li
0.9865 0.9865 0.6668 Li
0.3201 0.3201 0.7757 In
0.6799 0.6799 0.2243 In
0.0000 0.0000 0.0000 Hg
0.3402 0.3402 0.4168 Hg
0.6598 0.6598 0.5832 Hg
```



(8)
Structure and theoretical powder XRD pattern of LiIn2Hg4 (DFT lattice parameters and positions (GGA-PBE); Cu Kα (λ = 1.5418 Å)).

Most intense lines, 2θ = 10–90°, by angle:
d/Å, I (rel.)
3.524, 36
3.151, 23
2.492, 100
1.760, 13
1.711, 13
1.438, 23

Crystal structure
```
LiIn2Hg4
1.0
-2.4897 2.4897 7.0656
2.4897 -2.4897 7.0656
2.4897 2.4897 -7.0656
Li In Hg
1 2 4
Direct
0.0000 0.0000 0.0000 Li
0.2463 0.2463 0.0000 In
0.7537 0.7537 0.0000 In
0.1060 0.6060 0.5000 Hg
0.3940 0.8940 0.5000 Hg
0.6060 0.1060 0.5000 Hg
0.8940 0.3940 0.5000 Hg
```



Copy entry 3 word for word.
Structure and theoretical powder XRD pattern of Li3In3Hg5 (DFT lattice parameters and positions (GGA-PBE); Cu Kα (λ = 1.5418 Å)).

Most intense lines, 2θ = 10–90°, by angle:
d/Å, I (rel.)
3.677, 56
3.490, 88
3.412, 66
2.505, 67
2.486, 76
2.469, 100

Crystal structure
```
Li3In3Hg5
1.0
4.9392 0.0000 0.0000
2.3506 7.4040 0.0000
2.4559 2.8799 6.8283
Li In Hg
3 3 5
Direct
0.0000 0.0000 0.0000 Li
0.1208 0.5461 0.2313 Li
0.6297 0.1149 0.6445 Li
0.2327 0.7256 0.7918 In
0.4953 0.5876 0.4501 In
0.7609 0.3258 0.1689 In
0.2333 0.1160 0.4375 Hg
0.4046 0.2355 0.9680 Hg
0.6035 0.7856 0.9971 Hg
0.8787 0.8502 0.4179 Hg
0.9842 0.3660 0.6856 Hg
```